For MnZn3Fe8O16, a cell relaxed with PBE+U gives the theoretical X-ray diffraction stick pattern in this record (Cu Kα X-rays).
Kinematic intensities with the Lorentz-polarization factor, no thermal factor.

The 10 most intense peaks (10 to 90 degrees two-theta), in order of rising 2θ:
17.90 deg, I 7, (1 0 1); 29.44 deg, I 34, (2 0 0); 34.67 deg, I 100, (2 1 1); 36.26 deg, I 8, (2 0 2); 42.12 deg, I 16, (2 2 0); 52.22 deg, I 12, (3 1 2); 55.65 deg, I 37, (3 2 1); 61.09 deg, I 44, (4 0 0); 72.19 deg, I 10, (3 0 5); 87.26 deg, I 14, (5 0 3)

```
data_MnZn3Fe8O16
_chemical_formula_sum 'Mn1 Zn3 Fe8 O16'
_cell_length_a 6.0656
_cell_length_b 6.0656
_cell_length_c 8.5881
_cell_angle_alpha 90.00
_cell_angle_beta 90.00
_cell_angle_gamma 90.00
_symmetry_space_group_name_H-M 'P -4 m 2'
_symmetry_Int_Tables_number 115
loop_
_symmetry_equiv_pos_as_xyz
'x,y,z'
'y,-x,-z'
'-x,-y,z'
'-y,x,-z'
'-x,y,z'
'-y,-x,-z'
'x,-y,z'
'y,x,-z'
loop_
_atom_site_label
_atom_site_fract_x
_atom_site_fract_y
_atom_site_fract_z
_atom_site_occupancy
Mn1 0.0000 0.0000 0.0000 1
Zn1 0.0000 0.5000 0.7494 1
Zn2 0.5000 0.5000 0.5000 1
Fe1 0.0000 0.2515 0.3771 1
Fe2 0.2512 0.5000 0.1273 1
O1 0.0000 0.2285 0.6150 1
O2 0.0000 0.2777 0.1409 1
O3 0.2300 0.5000 0.3666 1
O4 0.2703 0.5000 0.8861 1
```